# 1
Starting from a cell relaxed with PBE, the PXRD pattern of Sc4Bi3Sb was calculated for copper Kα.
Lines closer than 0.1° are merged.

Principal peaks in the range 10 to 90 degrees two-theta, by angle:
2θ (°)  I_rel
12.78  2
16.53  2
25.73  69
29.80  100
42.65  76
50.48  37
52.89  27
61.89  12
68.17  16
70.19  34
78.07  26
83.83  13

Structural model:
```
data_Sc4Bi3Sb
_chemical_formula_sum 'Sc8 Bi6 Sb2'
_cell_length_a 7.345
_cell_length_b 8.481
_cell_length_c 7.342
_cell_angle_alpha 90.00
_cell_angle_beta 109.46
_cell_angle_gamma 90.00
_symmetry_space_group_name_H-M 'P 1 2/c 1'
_symmetry_Int_Tables_number 13
_symmetry_space_group_name_Hall '-P 2yc'
loop_
_atom_site_label
_atom_site_type_symbol
_atom_site_fract_x
_atom_site_fract_y
_atom_site_fract_z
Sc1 Sc 0.244 0.122 0.001
Sc2 Sc 0.248 0.372 0.497
Bi1 Bi 0.000 0.375 0.750
Bi2 Bi 0.500 0.125 0.750
Bi3 Bi 0.500 0.375 0.250
Sb1 Sb 0.000 0.125 0.250
```

=====

# 2
Starting from a cell relaxed with PBE, the PXRD pattern of BaCaTcO6 was calculated for copper Kα.
Lines closer than 0.1° are merged.

Principal peaks in the range 10 to 90 degrees two-theta, by angle:
2θ (°)  I_rel
17.84  28
24.19  100
24.52  86
24.74  87
30.44  59
31.51  28
39.97  25
40.26  23
46.20  23
46.45  38
46.83  19
50.29  21

Structural model:
```
data_BaCaTcO6
_chemical_formula_sum 'Ba1 Ca1 Tc1 O6'
_cell_length_a 5.265
_cell_length_b 5.679
_cell_length_c 5.876
_cell_angle_alpha 61.13
_cell_angle_beta 89.74
_cell_angle_gamma 89.42
_symmetry_space_group_name_H-M 'P 1'
_symmetry_Int_Tables_number 1
_symmetry_space_group_name_Hall 'P 1'
loop_
_atom_site_label
_atom_site_type_symbol
_atom_site_fract_x
_atom_site_fract_y
_atom_site_fract_z
Ba1 Ba 0.000 0.000 0.000
Ca1 Ca 0.500 0.682 0.636
Tc1 Tc 0.493 0.325 0.349
O1 O 0.272 0.374 0.563
O2 O 0.293 0.059 0.341
O3 O 0.311 0.590 0.025
O4 O 0.674 0.370 0.028
O5 O 0.694 0.604 0.330
O6 O 0.716 0.066 0.567
```

=====

# 3
Starting from a cell relaxed with PBE, the PXRD pattern of Y2SiHPt6 was calculated for copper Kα.
Lines closer than 0.1° are merged.

Principal peaks in the range 10 to 90 degrees two-theta, by angle:
2θ (°)  I_rel
20.66  16
29.99  35
30.95  13
35.09  10
38.06  100
39.80  12
42.03  68
55.65  12
65.99  23
74.16  16
78.80  12
81.39  10

Structural model:
```
data_Y2SiHPt6
_chemical_formula_sum 'Y4 Si2 H2 Pt12'
_cell_length_a 9.808
_cell_length_b 5.662
_cell_length_c 6.801
_cell_angle_alpha 90.00
_cell_angle_beta 118.81
_cell_angle_gamma 90.00
_symmetry_space_group_name_H-M 'C 1 2/m 1'
_symmetry_Int_Tables_number 12
_symmetry_space_group_name_Hall '-C 2y'
loop_
_atom_site_label
_atom_site_type_symbol
_atom_site_fract_x
_atom_site_fract_y
_atom_site_fract_z
Y1 Y 0.216 0.000 0.148
Si1 Si 0.000 0.500 0.000
H1 H 0.000 0.000 0.500
Pt1 Pt 0.018 0.252 0.301
Pt2 Pt 0.234 0.000 0.698
```

=====

# 4
Starting from a cell relaxed with PBE, the PXRD pattern of BaLiYCu2O5 was calculated for copper Kα.
Lines closer than 0.1° are merged.

Principal peaks in the range 10 to 90 degrees two-theta, by angle:
2θ (°)  I_rel
30.91  17
31.86  100
32.18  23
32.98  13
45.22  25
46.12  11
55.57  11
56.55  10
57.17  18
57.35  13
66.58  10
75.00  11

Structural model:
```
data_BaLiYCu2O5
_chemical_formula_sum 'Ba2 Li2 Y2 Cu4 O10'
_cell_length_a 7.873
_cell_length_b 5.563
_cell_length_c 5.787
_cell_angle_alpha 90.00
_cell_angle_beta 90.00
_cell_angle_gamma 90.00
_symmetry_space_group_name_H-M 'A m m 2'
_symmetry_Int_Tables_number 38
_symmetry_space_group_name_Hall 'A 2 -2'
loop_
_atom_site_label
_atom_site_type_symbol
_atom_site_fract_x
_atom_site_fract_y
_atom_site_fract_z
Ba1 Ba 0.000 0.000 0.000
Li1 Li 0.500 0.000 0.691
Y1 Y 0.500 0.000 0.106
Cu1 Cu 0.250 0.000 0.514
O1 O 0.000 0.000 0.523
O2 O 0.321 0.239 0.785
```

=====

# 5
Starting from a cell relaxed with PBE, the PXRD pattern of Cs2LiBeSb2 was calculated for copper Kα.
Lines closer than 0.1° are merged.

Principal peaks in the range 10 to 90 degrees two-theta, by angle:
2θ (°)  I_rel
20.44  9
25.80  31
26.20  34
27.57  100
33.14  7
33.46  7
37.10  26
45.77  15
46.60  17
47.08  23
60.11  9
61.21  8

Structural model:
```
data_Cs2LiBeSb2
_chemical_formula_sum 'Cs8 Li4 Be4 Sb8'
_cell_length_a 6.907
_cell_length_b 17.378
_cell_length_c 6.803
_cell_angle_alpha 90.00
_cell_angle_beta 90.00
_cell_angle_gamma 90.00
_symmetry_space_group_name_H-M 'I b a m'
_symmetry_Int_Tables_number 72
_symmetry_space_group_name_Hall '-I 2 2c'
loop_
_atom_site_label
_atom_site_type_symbol
_atom_site_fract_x
_atom_site_fract_y
_atom_site_fract_z
Cs1 Cs 0.233 0.165 0.000
Li1 Li 0.000 0.000 0.250
Be1 Be 0.000 0.500 0.250
Sb1 Sb 0.211 0.427 0.000
```

=====

# 6
Starting from a cell relaxed with PBE, the PXRD pattern of K2AcAlTe4 was calculated for copper Kα.
Lines closer than 0.1° are merged.

Principal peaks in the range 10 to 90 degrees two-theta, by angle:
2θ (°)  I_rel
11.15  15
11.94  38
13.23  14
21.67  16
26.64  54
27.00  100
30.18  14
36.49  15
38.29  70
40.52  19
45.76  13
49.16  20

Structural model:
```
data_K2AcAlTe4
_chemical_formula_sum 'K8 Ac4 Al4 Te16'
_cell_length_a 13.276
_cell_length_b 13.383
_cell_length_c 8.905
_cell_angle_alpha 90.00
_cell_angle_beta 132.11
_cell_angle_gamma 90.00
_symmetry_space_group_name_H-M 'C 1 2/c 1'
_symmetry_Int_Tables_number 15
_symmetry_space_group_name_Hall '-C 2yc'
loop_
_atom_site_label
_atom_site_type_symbol
_atom_site_fract_x
_atom_site_fract_y
_atom_site_fract_z
K1 K 0.000 0.000 0.000
K2 K 0.250 0.250 0.000
Ac1 Ac 0.250 0.250 0.500
Al1 Al 0.000 0.500 0.000
Te1 Te 0.000 0.274 0.006
Te2 Te 0.195 0.498 0.446
```

=====

# 7
Starting from a cell relaxed with PBE, the PXRD pattern of K3LiZn2H8 was calculated for copper Kα.
Lines closer than 0.1° are merged.

Principal peaks in the range 10 to 90 degrees two-theta, by angle:
2θ (°)  I_rel
18.29  24
21.91  45
24.06  20
30.39  75
31.96  100
40.40  28
41.06  17
44.69  26
55.99  23
56.97  17
75.19  15
84.05  12

Structural model:
```
data_K3LiZn2H8
_chemical_formula_sum 'K3 Li1 Zn2 H8'
_cell_length_a 5.5998
_cell_length_b 5.5998
_cell_length_c 7.3982
_cell_angle_alpha 90.00
_cell_angle_beta 90.00
_cell_angle_gamma 120.00
_symmetry_space_group_name_H-M 'P -3 m 1'
_symmetry_Int_Tables_number 164
_symmetry_space_group_name_Hall '-P 3 2"'
loop_
_atom_site_label
_atom_site_type_symbol
_atom_site_fract_x
_atom_site_fract_y
_atom_site_fract_z
K1 K 0.0000 0.0000 0.0000
K2 K 0.3333 0.6667 0.6742
Li1 Li 0.0000 0.0000 0.5000
Zn1 Zn 0.3333 0.6667 0.2425
H1 H 0.1729 0.3458 0.3304
H2 H 0.3333 0.6667 0.0241
```

=====

# 8
Starting from a cell relaxed with PBE, the PXRD pattern of Sm3MgBiRu4O14 was calculated for copper Kα.
Lines closer than 0.1° are merged.

Principal peaks in the range 10 to 90 degrees two-theta, by angle:
2θ (°)  I_rel
29.29  100
29.48  33
34.00  42
48.72  32
48.97  31
57.86  14
57.97  28
58.19  14
60.74  9
71.57  9
78.95  11
81.46  8

Structural model:
```
data_Sm3MgBiRu4O14
_chemical_formula_sum 'Sm9 Mg3 Bi3 Ru12 O42'
_cell_length_a 7.4760
_cell_length_b 7.4760
_cell_length_c 18.1824
_cell_angle_alpha 90.00
_cell_angle_beta 90.00
_cell_angle_gamma 120.00
_symmetry_space_group_name_H-M 'R 3 m'
_symmetry_Int_Tables_number 160
_symmetry_space_group_name_Hall 'R 3 -2"'
loop_
_atom_site_label
_atom_site_type_symbol
_atom_site_fract_x
_atom_site_fract_y
_atom_site_fract_z
Sm1 Sm 0.1682 0.3364 0.0000
Mg1 Mg 0.0000 0.0000 0.7901
Bi1 Bi 0.0000 0.0000 0.1674
Ru1 Ru 0.0000 0.0000 0.6557
Ru2 Ru 0.0241 0.5121 0.1690
O1 O 0.0000 0.0000 0.0380
O2 O 0.0000 0.0000 0.2923
O3 O 0.0532 0.5266 0.5278
O4 O 0.0649 0.5325 0.2746
O5 O 0.1915 0.3830 0.3863
O6 O 0.2005 0.4009 0.1405
```